Simulated X-ray powder pattern of KRhF5 for Cu Kα X-rays, from a DFT-relaxed cell (PBE, Alexandria).

Structural model:
abc: 4.0545 7.3572 9.0696
angles: 90.00 90.00 90.00
Fractional coordinates of all 14 atoms:
K 0.0000 0.0000 0.0000
K 0.5000 0.5000 0.5000
Rh 0.0000 0.0000 0.5000
Rh 0.5000 0.5000 0.0000
F 0.0000 0.0000 0.2893
F 0.0000 0.0000 0.7107
F 0.0000 0.2633 0.5000
F 0.0000 0.5000 0.0000
F 0.0000 0.7367 0.5000
F 0.5000 0.0000 0.5000
F 0.5000 0.2367 0.0000
F 0.5000 0.5000 0.2107
F 0.5000 0.5000 0.7893
F 0.5000 0.7633 0.0000

Largest 6 diffraction maxima, by angle, 2θ from 10° to 90°:
d (Å)  intensity
5.714  94
4.535  100
3.701  36
3.679  56
3.551  98
1.911  35